Theoretical X-ray powder pattern
Compound: KGaI4
Radiation: a wavelength of 1.5418 Å
Structure: a structure optimized by DFT (PBE)
Neutral-atom scattering factors, no anomalous dispersion.

Top 10 peaks for 2θ from 10° to 80°, by angle:
15.55 deg, 5.697 Å, intensity 70; 23.49 deg, 3.788 Å, intensity 73; 24.66 deg, 3.611 Å, intensity 100; 24.85 deg, 3.583 Å, intensity 94; 25.50 deg, 3.493 Å, intensity 96; 26.74 deg, 3.334 Å, intensity 50; 27.02 deg, 3.300 Å, intensity 69; 27.53 deg, 3.240 Å, intensity 85; 42.10 deg, 2.146 Å, intensity 43; 45.12 deg, 2.010 Å, intensity 43

Cell and atoms:
```
KGaI4
1.0
8.569 0.000 0.000
0.000 8.211 0.000
-1.410 0.000 16.580
K Ga I
4 4 16
Cartesian
1.882 0.023 2.319 K
1.178 4.082 10.609 K
5.982 4.129 5.971 K
5.277 8.188 14.261 K
1.684 5.270 5.984 Ga
0.979 7.047 14.275 Ga
6.180 1.164 2.306 Ga
5.475 2.942 10.596 Ga
-0.674 6.099 16.040 I
0.031 6.218 7.750 I
0.430 5.015 3.724 I
-0.274 7.302 12.014 I
1.813 1.154 15.066 I
2.518 2.952 6.776 I
2.938 5.381 13.936 I
3.643 6.936 5.646 I
3.517 1.275 10.934 I
4.222 2.831 2.644 I
4.642 5.260 9.804 I
5.347 7.058 1.514 I
7.434 0.910 4.566 I
6.729 3.196 12.856 I
7.129 1.993 8.830 I
7.833 2.113 0.540 I
```

=====

Theoretical X-ray powder pattern
Compound: KRb2GaI6
Radiation: a wavelength of 1.5418 Å
Structure: a structure optimized by DFT (PBE)
Neutral-atom scattering factors, no anomalous dispersion.

Top 10 peaks for 2θ from 10° to 80°, by angle:
12.40 deg, 7.140 Å, intensity 15; 14.32 deg, 6.184 Å, intensity 19; 24.94 deg, 3.570 Å, intensity 100; 28.88 deg, 3.092 Å, intensity 85; 37.80 deg, 2.380 Å, intensity 16; 41.29 deg, 2.186 Å, intensity 58; 48.85 deg, 1.864 Å, intensity 39; 51.17 deg, 1.785 Å, intensity 19; 67.77 deg, 1.383 Å, intensity 21; 75.29 deg, 1.262 Å, intensity 14

Cell and atoms:
```
KRb2GaI6
1.0
0.000 6.184 6.184
6.184 0.000 6.184
6.184 6.184 0.000
K Rb Ga I
1 2 1 6
Cartesian
0.000 0.000 0.000 K
3.092 3.092 3.092 Rb
9.276 9.276 9.276 Rb
6.184 6.184 6.184 Ga
6.184 6.184 3.371 I
6.184 3.371 6.184 I
8.996 6.184 6.184 I
3.371 6.184 6.184 I
6.184 8.996 6.184 I
6.184 6.184 8.996 I
```

=====

Theoretical X-ray powder pattern
Compound: K2TlGaI6
Radiation: a wavelength of 1.5418 Å
Structure: a structure optimized by DFT (PBE)
Neutral-atom scattering factors, no anomalous dispersion.

Top 10 peaks for 2θ from 10° to 80°, by angle:
14.49 deg, 6.112 Å, intensity 90; 25.24 deg, 3.529 Å, intensity 50; 29.22 deg, 3.056 Å, intensity 100; 31.91 deg, 2.805 Å, intensity 20; 32.76 deg, 2.734 Å, intensity 45; 41.80 deg, 2.161 Å, intensity 71; 44.47 deg, 2.037 Å, intensity 24; 51.81 deg, 1.764 Å, intensity 24; 68.67 deg, 1.367 Å, intensity 27; 76.32 deg, 1.248 Å, intensity 19

Cell and atoms:
```
K2TlGaI6
1.0
0.000 6.112 6.112
6.112 0.000 6.112
6.112 6.112 0.000
K Tl Ga I
2 1 1 6
Cartesian
3.056 3.056 3.056 K
9.168 9.168 9.168 K
0.000 0.000 0.000 Tl
6.112 6.112 6.112 Ga
6.112 6.112 3.290 I
6.112 3.290 6.112 I
8.935 6.112 6.112 I
3.290 6.112 6.112 I
6.112 8.935 6.112 I
6.112 6.112 8.935 I
```

=====

Theoretical X-ray powder pattern
Compound: LiGaI3
Radiation: a wavelength of 1.5418 Å
Structure: a structure optimized by DFT (PBE)
Neutral-atom scattering factors, no anomalous dispersion.

Top 10 peaks for 2θ from 10° to 80°, by angle:
22.01 deg, 4.038 Å, intensity 57; 24.84 deg, 3.585 Å, intensity 33; 25.79 deg, 3.454 Å, intensity 40; 26.15 deg, 3.408 Å, intensity 100; 28.02 deg, 3.185 Å, intensity 38; 28.29 deg, 3.155 Å, intensity 36; 28.96 deg, 3.083 Å, intensity 32; 45.75 deg, 1.983 Å, intensity 30; 45.98 deg, 1.974 Å, intensity 27; 48.43 deg, 1.880 Å, intensity 29

Cell and atoms:
```
LiGaI3
1.0
7.285 0.000 0.000
0.000 11.577 0.000
-0.335 0.000 8.610
Li Ga I
4 4 12
Cartesian
0.000 0.000 0.000 Li
0.000 5.788 0.000 Li
3.475 0.000 4.305 Li
3.475 5.788 4.305 Li
0.069 2.894 4.562 Ga
0.884 2.894 2.229 Ga
6.067 8.683 6.381 Ga
6.882 8.683 4.047 Ga
0.681 8.683 8.212 I
1.068 0.809 5.886 I
1.068 4.979 5.886 I
2.219 8.683 3.738 I
2.379 0.807 1.574 I
2.379 4.982 1.574 I
4.572 6.595 7.035 I
4.572 10.770 7.035 I
4.731 2.894 4.872 I
5.882 6.598 2.724 I
5.882 10.767 2.724 I
6.270 2.894 0.398 I
```

=====

Theoretical X-ray powder pattern
Compound: Li4Ga3Si3IO12
Radiation: a wavelength of 1.5418 Å
Structure: a structure optimized by DFT (PBE)
Neutral-atom scattering factors, no anomalous dispersion.

Top 10 peaks for 2θ from 10° to 80°, by angle:
20.32 deg, 4.371 Å, intensity 30; 24.95 deg, 3.569 Å, intensity 100; 35.58 deg, 2.523 Å, intensity 13; 38.54 deg, 2.336 Å, intensity 44; 46.46 deg, 1.955 Å, intensity 14; 48.87 deg, 1.864 Å, intensity 14; 57.77 deg, 1.596 Å, intensity 13; 59.86 deg, 1.545 Å, intensity 19; 65.87 deg, 1.418 Å, intensity 16; 73.48 deg, 1.289 Å, intensity 10

Cell and atoms:
```
Li4Ga3Si3IO12
1.0
8.741 0.000 0.000
0.000 8.741 0.000
0.000 0.000 8.741
Li Ga Si I O
8 6 6 2 24
Cartesian
1.652 1.652 1.652 Li
1.652 7.089 7.089 Li
2.719 2.719 6.022 Li
2.719 6.022 2.719 Li
6.022 2.719 2.719 Li
6.022 6.022 6.022 Li
7.089 1.652 7.089 Li
7.089 7.089 1.652 Li
0.000 2.185 4.371 Ga
0.000 6.556 4.371 Ga
2.185 4.371 0.000 Ga
4.371 0.000 2.185 Ga
4.371 0.000 6.556 Ga
6.556 4.371 0.000 Ga
0.000 4.371 2.185 Si
0.000 4.371 6.556 Si
2.185 0.000 4.371 Si
4.371 2.185 0.000 Si
4.371 6.556 0.000 Si
6.556 0.000 4.371 Si
0.000 0.000 0.000 I
4.371 4.371 4.371 I
0.798 3.234 5.670 O
0.798 5.507 3.071 O
1.136 3.572 1.299 O
1.136 5.169 7.442 O
1.299 1.136 3.572 O
1.299 7.605 5.169 O
3.071 0.798 5.507 O
3.071 7.943 3.234 O
3.234 3.071 7.943 O
3.234 5.670 0.798 O
3.572 1.299 1.136 O
3.572 7.442 7.605 O
5.169 1.299 7.605 O
5.169 7.442 1.136 O
5.507 3.071 0.798 O
5.507 5.670 7.943 O
5.670 0.798 3.234 O
5.670 7.943 5.507 O
7.442 1.136 5.169 O
7.442 7.605 3.572 O
7.605 3.572 7.442 O
7.605 5.169 1.299 O
7.943 3.234 3.071 O
7.943 5.507 5.670 O
```

=====

Theoretical X-ray powder pattern
Compound: Rb2TlGaI6
Radiation: a wavelength of 1.5418 Å
Structure: a structure optimized by DFT (PBE)
Neutral-atom scattering factors, no anomalous dispersion.

Top 10 peaks for 2θ from 10° to 80°, by angle:
14.44 deg, 6.135 Å, intensity 49; 25.14 deg, 3.542 Å, intensity 57; 29.11 deg, 3.068 Å, intensity 100; 31.79 deg, 2.815 Å, intensity 17; 32.64 deg, 2.744 Å, intensity 23; 41.64 deg, 2.169 Å, intensity 71; 49.26 deg, 1.850 Å, intensity 22; 51.61 deg, 1.771 Å, intensity 24; 68.38 deg, 1.372 Å, intensity 28; 75.99 deg, 1.252 Å, intensity 20

Cell and atoms:
```
Rb2TlGaI6
1.0
0.000 6.135 6.135
6.135 0.000 6.135
6.135 6.135 0.000
Rb Tl Ga I
2 1 1 6
Cartesian
3.068 3.068 3.068 Rb
9.203 9.203 9.203 Rb
0.000 0.000 0.000 Tl
6.135 6.135 6.135 Ga
6.135 6.135 3.306 I
6.135 3.306 6.135 I
8.964 6.135 6.135 I
3.306 6.135 6.135 I
6.135 8.964 6.135 I
6.135 6.135 8.964 I
```

=====

Theoretical X-ray powder pattern
Compound: Ga3Te3I
Radiation: a wavelength of 1.5418 Å
Structure: a structure optimized by DFT (PBE)
Neutral-atom scattering factors, no anomalous dispersion.

Top 10 peaks for 2θ from 10° to 80°, by angle:
22.86 deg, 3.890 Å, intensity 51; 24.50 deg, 3.633 Å, intensity 41; 25.51 deg, 3.491 Å, intensity 47; 26.04 deg, 3.421 Å, intensity 53; 26.31 deg, 3.388 Å, intensity 100; 26.65 deg, 3.344 Å, intensity 47; 27.67 deg, 3.223 Å, intensity 38; 43.40 deg, 2.085 Å, intensity 46; 43.69 deg, 2.072 Å, intensity 36; 46.10 deg, 1.969 Å, intensity 62

Cell and atoms:
```
Ga3Te3I
1.0
11.622 0.000 0.000
0.000 4.170 0.000
0.000 0.000 20.947
Ga Te I
12 12 4
Cartesian
0.652 1.043 1.991 Ga
1.967 1.043 13.191 Ga
1.983 1.043 20.863 Ga
3.827 3.128 10.389 Ga
3.843 3.128 2.718 Ga
5.159 3.128 12.465 Ga
6.463 1.043 8.482 Ga
7.778 1.043 18.229 Ga
7.794 1.043 10.557 Ga
9.638 3.128 0.084 Ga
9.654 3.128 7.755 Ga
10.970 3.128 18.955 Ga
0.977 1.043 18.369 Te
2.081 1.043 10.512 Te
2.584 1.043 3.878 Te
3.226 3.128 14.352 Te
3.729 3.128 0.039 Te
4.834 3.128 7.896 Te
6.788 1.043 13.051 Te
7.892 1.043 20.908 Te
8.395 1.043 6.595 Te
9.037 3.128 17.068 Te
9.540 3.128 10.434 Te
10.644 3.128 2.577 Te
0.483 3.128 6.987 I
5.327 1.043 17.460 I
6.294 3.128 3.486 I
11.138 1.043 13.960 I
```

=====

Theoretical X-ray powder pattern
Compound: In3Ga
Radiation: a wavelength of 1.5418 Å
Structure: a structure optimized by DFT (PBE)
Neutral-atom scattering factors, no anomalous dispersion.

Top 10 peaks for 2θ from 10° to 80°, by angle:
21.17 deg, 4.197 Å, intensity 3; 33.39 deg, 2.683 Å, intensity 100; 37.77 deg, 2.382 Å, intensity 36; 40.64 deg, 2.220 Å, intensity 14; 43.70 deg, 2.071 Å, intensity 1; 54.49 deg, 1.684 Å, intensity 12; 56.69 deg, 1.624 Å, intensity 21; 65.43 deg, 1.426 Å, intensity 27; 69.36 deg, 1.355 Å, intensity 11; 70.14 deg, 1.342 Å, intensity 11

Cell and atoms:
```
In3Ga
1.0
-2.382 2.382 4.440
2.382 -2.382 4.440
2.382 2.382 -4.440
In Ga
3 1
Cartesian
0.000 0.000 0.000 In
2.382 0.000 2.220 In
0.000 2.382 2.220 In
0.000 0.000 4.440 Ga
```

=====

Theoretical X-ray powder pattern
Compound: InGa3
Radiation: a wavelength of 1.5418 Å
Structure: a structure optimized by DFT (PBE)
Neutral-atom scattering factors, no anomalous dispersion.

Top 10 peaks for 2θ from 10° to 80°, by angle:
23.86 deg, 3.730 Å, intensity 7; 33.52 deg, 2.673 Å, intensity 23; 34.46 deg, 2.603 Å, intensity 29; 37.83 deg, 2.378 Å, intensity 100; 48.83 deg, 1.865 Å, intensity 16; 59.93 deg, 1.544 Å, intensity 16; 63.96 deg, 1.456 Å, intensity 20; 71.00 deg, 1.328 Å, intensity 19; 72.65 deg, 1.301 Å, intensity 3; 73.09 deg, 1.295 Å, intensity 13

Cell and atoms:
```
InGa3
1.0
6.174 0.000 0.000
-3.087 5.347 0.000
0.000 0.000 5.206
In Ga
2 6
Cartesian
0.000 3.565 1.301 In
3.087 1.782 3.904 In
0.000 1.712 3.904 Ga
-1.604 4.491 3.904 Ga
1.483 0.856 1.301 Ga
1.604 4.491 3.904 Ga
4.692 0.856 1.301 Ga
3.087 3.635 1.301 Ga
```

=====

Theoretical X-ray powder pattern
Compound: In3Ga
Radiation: a wavelength of 1.5418 Å
Structure: a structure optimized by DFT (PBE)
Neutral-atom scattering factors, no anomalous dispersion.

Top 9 peaks for 2θ from 10° to 80°, by angle:
20.73 deg, 4.286 Å, intensity 2; 23.98 deg, 3.711 Å, intensity 1; 34.17 deg, 2.624 Å, intensity 100; 40.30 deg, 2.238 Å, intensity 1; 49.09 deg, 1.856 Å, intensity 18; 53.84 deg, 1.703 Å, intensity 1; 55.35 deg, 1.660 Å, intensity 1; 61.17 deg, 1.515 Å, intensity 35; 71.96 deg, 1.312 Å, intensity 11

Cell and atoms:
```
In3Ga
1.0
0.000 3.711 3.711
3.711 0.000 3.711
3.711 3.711 0.000
In Ga
3 1
Cartesian
0.000 0.000 0.000 In
1.856 1.856 1.856 In
5.567 5.567 5.567 In
3.711 3.711 3.711 Ga
```

=====

Theoretical X-ray powder pattern
Compound: InGa3
Radiation: a wavelength of 1.5418 Å
Structure: a structure optimized by DFT (PBE)
Neutral-atom scattering factors, no anomalous dispersion.

Top 10 peaks for 2θ from 10° to 80°, by angle:
20.23 deg, 4.389 Å, intensity 5; 28.77 deg, 3.103 Å, intensity 4; 35.42 deg, 2.534 Å, intensity 100; 41.13 deg, 2.195 Å, intensity 49; 46.25 deg, 1.963 Å, intensity 2; 50.97 deg, 1.792 Å, intensity 2; 59.58 deg, 1.552 Å, intensity 32; 63.60 deg, 1.463 Å, intensity 1; 71.26 deg, 1.323 Å, intensity 37; 74.96 deg, 1.267 Å, intensity 11

Cell and atoms:
```
InGa3
1.0
4.389 0.000 0.000
0.000 4.389 0.000
0.000 0.000 4.389
In Ga
1 3
Cartesian
0.000 0.000 0.000 In
0.000 2.195 2.195 Ga
2.195 0.000 2.195 Ga
2.195 2.195 0.000 Ga
```